(1)
For Pm2Nd2Te2Se3, a DFT-relaxed cell (PBE, Alexandria) gives the simulated X-ray diffraction stick pattern in this record (Cu Kα, 1.54184 Å).
No peak broadening, texture or thermal motion is included.

Main lines, by angle (2θ from 15° to 90°):
d = 3.977 Å, I = 14.6; d = 3.620 Å, I = 14.9; d = 2.875 Å, I = 100.0; d = 2.843 Å, I = 47.0; d = 2.784 Å, I = 59.8; d = 2.330 Å, I = 14.0; d = 2.033 Å, I = 36.9; d = 2.000 Å, I = 45.9; d = 1.654 Å, I = 18.6; d = 1.642 Å, I = 12.2; d = 1.426 Å, I = 15.2; d = 1.286 Å, I = 16.5

Crystal structure
```
9
Lattice="-2.8752 2.8752 7.9539 2.8752 -2.8752 7.9539 2.8752 2.8752 -7.9539" Properties=species:S:1:pos:R:3 pbc="T T T"
Pm 2.8752 0.0000 0.0000
Pm 0.0000 2.8752 0.0000
Nd 0.0000 0.0000 3.1248
Nd 0.0000 0.0000 12.7830
Te 0.0000 0.0000 6.2833
Te 0.0000 0.0000 9.6245
Se 0.0000 0.0000 0.0000
Se 2.8752 0.0000 3.9769
Se 0.0000 2.8752 3.9769
```

---

(2)
For La3P6Pd20, a DFT-relaxed cell (PBE, Alexandria) gives the simulated X-ray diffraction stick pattern in this record (Cu Kα, 1.54184 Å).
No peak broadening, texture or thermal motion is included.

Main lines, by angle (2θ from 15° to 90°):
d = 2.776 Å, I = 23.2; d = 2.534 Å, I = 29.1; d = 2.390 Å, I = 100.0; d = 2.195 Å, I = 29.8; d = 2.099 Å, I = 24.6; d = 2.069 Å, I = 9.4; d = 1.872 Å, I = 11.9; d = 1.506 Å, I = 7.6; d = 1.463 Å, I = 28.7; d = 1.434 Å, I = 13.7; d = 1.267 Å, I = 17.8; d = 1.248 Å, I = 9.6

Crystal structure
```
29
Lattice="0.0000 6.2082 6.2082 6.2082 0.0000 6.2082 6.2082 6.2082 0.0000" Properties=species:S:1:pos:R:3 pbc="T T T"
La 0.0000 0.0000 0.0000
La 3.1041 3.1041 3.1041
La 9.3123 9.3123 9.3123
P 6.2082 6.2082 3.2689
P 6.2082 3.2689 6.2082
P 9.1474 6.2082 6.2082
P 3.2689 6.2082 6.2082
P 6.2082 9.1474 6.2082
P 6.2082 6.2082 9.1474
Pd 2.1535 2.1535 0.0000
Pd 4.0546 4.0546 0.0000
Pd 2.1535 0.0000 2.1535
Pd 6.2082 4.0546 2.1535
Pd 4.0546 0.0000 4.0546
Pd 6.2082 2.1535 4.0546
Pd 7.6212 4.7951 4.7951
Pd 0.0000 2.1535 2.1535
Pd 4.0546 6.2082 2.1535
Pd 4.0546 2.1535 6.2082
Pd 4.7951 4.7951 4.7951
Pd 7.6212 7.6212 4.7951
Pd 7.6212 4.7951 7.6212
Pd 4.7951 7.6212 4.7951
Pd 4.7951 4.7951 7.6212
Pd 7.6212 7.6212 7.6212
Pd 0.0000 4.0546 4.0546
Pd 2.1535 6.2082 4.0546
Pd 2.1535 4.0546 6.2082
Pd 4.7951 7.6212 7.6212
```

---

(3)
For Tm4Cd5Au2, a DFT-relaxed cell (PBE, Alexandria) gives the simulated X-ray diffraction stick pattern in this record (Cu Kα, 1.54184 Å).
No peak broadening, texture or thermal motion is included.

Main lines, by angle (2θ from 15° to 90°):
d = 2.707 Å, I = 66.3; d = 2.636 Å, I = 76.1; d = 2.580 Å, I = 65.1; d = 2.554 Å, I = 21.1; d = 2.517 Å, I = 43.0; d = 2.468 Å, I = 44.1; d = 2.413 Å, I = 54.5; d = 2.397 Å, I = 100.0; d = 2.334 Å, I = 59.6; d = 1.744 Å, I = 32.8; d = 1.639 Å, I = 21.2; d = 1.411 Å, I = 20.6

Crystal structure
```
11
Lattice="7.6826 0.0000 0.0000 0.0000 3.4888 0.0000 -0.7045 0.0000 9.8758" Properties=species:S:1:pos:R:3 pbc="T T T"
Tm 1.0226 0.0000 3.6386
Tm 1.1931 0.0000 9.3389
Tm 5.7851 0.0000 0.5369
Tm 5.9556 0.0000 6.2372
Cd 0.9932 1.7444 6.4431
Cd 3.3547 1.7444 1.8918
Cd 3.4891 1.7444 4.9379
Cd 3.6234 1.7444 7.9840
Cd 5.9850 1.7444 3.4327
Au 0.4172 1.7444 1.3833
Au 6.5609 1.7444 8.4925
```

---

(4)
For Si4Rh3, a DFT-relaxed cell (PBE, Alexandria) gives the simulated X-ray diffraction stick pattern in this record (Cu Kα, 1.54184 Å).
No peak broadening, texture or thermal motion is included.

Main lines, by angle (2θ from 15° to 90°):
d = 3.683 Å, I = 41.5; d = 3.156 Å, I = 47.3; d = 3.099 Å, I = 67.0; d = 3.059 Å, I = 93.9; d = 2.211 Å, I = 29.4; d = 2.149 Å, I = 63.7; d = 2.058 Å, I = 55.9; d = 2.038 Å, I = 100.0; d = 1.987 Å, I = 37.5; d = 1.866 Å, I = 38.1; d = 1.826 Å, I = 45.3; d = 1.305 Å, I = 26.8

Crystal structure
```
28
Lattice="18.9353 0.0000 0.0000 0.0000 3.6516 0.0000 0.0000 0.0000 5.8608" Properties=species:S:1:pos:R:3 pbc="T T T"
Si 0.9345 0.9129 0.1189
Si 1.7084 0.9129 3.3257
Si 2.7090 2.7387 0.6484
Si 4.3937 0.9129 1.6338
Si 5.0739 2.7387 4.5641
Si 6.7587 0.9129 3.5788
Si 7.7592 2.7387 0.3953
Si 8.5331 2.7387 3.0493
Si 10.4021 0.9129 2.8115
Si 11.1760 0.9129 5.4655
Si 12.1766 2.7387 2.2820
Si 13.8613 0.9129 1.2966
Si 14.5415 2.7387 4.2270
Si 16.2263 0.9129 5.2123
Si 17.2269 2.7387 2.5351
Si 18.0007 2.7387 5.7418
Rh 0.6055 2.7387 1.8330
Rh 3.3044 0.9129 5.1812
Rh 3.3368 2.7387 2.8993
Rh 6.1309 0.9129 5.8297
Rh 6.1632 2.7387 2.2508
Rh 8.8621 0.9129 4.7634
Rh 10.0732 2.7387 1.0974
Rh 12.7721 0.9129 3.6100
Rh 12.8044 2.7387 0.0311
Rh 15.5985 0.9129 2.9615
Rh 15.6308 2.7387 0.6796
Rh 18.3297 0.9129 4.0278
```

---

(5)
For Cd4HgSb, a DFT-relaxed cell (PBE, Alexandria) gives the simulated X-ray diffraction stick pattern in this record (Cu Kα, 1.54184 Å).
No peak broadening, texture or thermal motion is included.

Main lines, by angle (2θ from 15° to 90°):
d = 2.911 Å, I = 45.6; d = 2.816 Å, I = 100.0; d = 2.386 Å, I = 33.1; d = 2.298 Å, I = 71.6; d = 1.845 Å, I = 24.1; d = 1.829 Å, I = 12.8; d = 1.722 Å, I = 18.9; d = 1.447 Å, I = 12.6; d = 1.397 Å, I = 19.0; d = 1.360 Å, I = 13.1; d = 1.334 Å, I = 15.5; d = 1.165 Å, I = 12.1

Crystal structure
```
12
Lattice="4.7722 0.0000 0.0000 0.0000 10.4658 0.0000 0.0000 0.0000 6.0616" Properties=species:S:1:pos:R:3 pbc="T T T"
Cd 1.1930 0.6918 0.7423
Cd 1.1930 0.7225 3.7672
Cd 1.1930 4.5104 3.7672
Cd 1.1930 4.5411 0.7423
Cd 3.5791 5.9247 5.3193
Cd 3.5791 5.9554 2.2944
Cd 3.5791 9.7433 2.2944
Cd 3.5791 9.7740 5.3193
Hg 1.1930 7.8493 2.4395
Hg 3.5791 2.6164 3.6221
Sb 1.1930 7.8493 5.4680
Sb 3.5791 2.6164 0.5936
```